Record 1
Theoretical X-ray diffraction stick pattern of SmThSn for Cu Ka, from a cell relaxed with PBE.
Intensities are scaled so that the largest is 100.

Main lines, by angle (10 to 80 degrees two-theta):
| d [Å] | intensity | index |
| --- | --- | --- |
| 3.051 | 100 | 1 1 2 |
| 2.952 | 38 | 0 0 6 |
| 2.806 | 15 | 1 0 5 |
| 2.620 | 84 | 1 1 4 |
| 2.298 | 50 | 2 0 0 |
| 1.830 | 14 | 1 1 8 |
| 1.813 | 38 | 2 0 6 |
| 1.625 | 17 | 2 2 0 |
| 1.555 | 13 | 1 1 10 |
| 1.434 | 21 | 3 1 2 |
| 1.423 | 17 | 2 2 6 |
| 1.381 | 24 | 3 1 4 |

Crystal structure
```
data_SmThSn
_chemical_formula_sum 'Sm4 Th4 Sn4'
_cell_length_a 4.596
_cell_length_b 4.596
_cell_length_c 17.713
_cell_angle_alpha 90.00
_cell_angle_beta 90.00
_cell_angle_gamma 90.00
_symmetry_space_group_name_H-M 'I 4/m m m'
_symmetry_Int_Tables_number 139
_symmetry_space_group_name_Hall '-I 4 2'
loop_
_atom_site_label
_atom_site_fract_x
_atom_site_fract_y
_atom_site_fract_z
_atom_site_occupancy
Sm1 0.000 0.000 0.176 1
Th1 0.000 0.500 0.000 1
Sn1 0.000 0.000 0.359 1
```



Record 2
Theoretical X-ray diffraction stick pattern of Sm2Te4O11 for Cu Ka, from a cell relaxed with PBE.
Intensities are scaled so that the largest is 100.

Main lines, by angle (10 to 80 degrees two-theta):
| d [Å] | intensity | index |
| --- | --- | --- |
| 3.415 | 100 | 1 1 3 |
| 3.062 | 31 | 4 0 0 |
| 3.044 | 66 | 3 1 -3 |
| 2.713 | 21 | 2 0 -6 |
| 2.628 | 17 | 0 2 0 |
| 2.247 | 15 | 2 0 6 |
| 1.994 | 21 | 4 2 0 |
| 1.900 | 17 | 5 1 3 |
| 1.888 | 18 | 2 2 -6 |
| 1.866 | 11 | 6 0 -6 |
| 1.727 | 14 | 1 1 -9 |
| 1.707 | 25 | 7 1 -3 |

Crystal structure
```
data_Sm2Te4O11
_chemical_formula_sum 'Sm8 Te16 O44'
_cell_length_a 12.663
_cell_length_b 5.256
_cell_length_c 16.563
_cell_angle_alpha 90.00
_cell_angle_beta 104.74
_cell_angle_gamma 90.00
_symmetry_space_group_name_H-M 'C 1 2/c 1'
_symmetry_Int_Tables_number 15
loop_
_symmetry_equiv_pos_as_xyz
'x,y,z'
'-x,-y,-z'
'-x,y,-z+1/2'
'x,-y,z+1/2'
'x+1/2,y+1/2,z'
'-x+1/2,-y+1/2,-z'
'-x+1/2,y+1/2,-z+1/2'
'x+1/2,-y+1/2,z+1/2'
loop_
_atom_site_label
_atom_site_fract_x
_atom_site_fract_y
_atom_site_fract_z
_atom_site_occupancy
Sm1 0.118 0.250 0.038 1
Te1 0.119 0.221 0.698 1
Te2 0.132 0.218 0.375 1
O1 0.000 0.350 0.750 1
O2 0.024 0.082 0.598 1
O3 0.071 0.387 0.454 1
O4 0.148 0.449 0.168 1
O5 0.208 0.041 0.947 1
O6 0.246 0.065 0.626 1
```



Record 3
Theoretical X-ray diffraction stick pattern of CsSnBr3 for Cu Ka, from a cell relaxed with PBE.
Intensities are scaled so that the largest is 100.

Main lines, by angle (10 to 80 degrees two-theta):
| d [Å] | intensity | index |
| --- | --- | --- |
| 4.815 | 21 | 0 0 4 |
| 4.465 | 100 | 1 0 1 |
| 4.144 | 16 | 1 0 2 |
| 3.322 | 65 | 1 0 4 |
| 2.650 | 91 | 1 1 0 |
| 2.631 | 21 | 1 0 6 |
| 2.360 | 31 | 1 0 7 |
| 2.322 | 20 | 1 1 4 |
| 2.279 | 17 | 2 0 1 |
| 2.072 | 17 | 2 0 4 |
| 1.782 | 34 | 1 1 8 |
| 1.530 | 17 | 3 0 0 |

Crystal structure
```
data_CsSnBr3
_chemical_formula_sum 'Cs2 Sn2 Br6'
_cell_length_a 5.3004
_cell_length_b 5.3004
_cell_length_c 19.2602
_cell_angle_alpha 90.00
_cell_angle_beta 90.00
_cell_angle_gamma 120.00
_symmetry_space_group_name_H-M 'P 63/m m c'
_symmetry_Int_Tables_number 194
_symmetry_space_group_name_Hall '-P 6c 2c'
loop_
_atom_site_label
_atom_site_fract_x
_atom_site_fract_y
_atom_site_fract_z
_atom_site_occupancy
Cs1 0.0000 0.0000 0.0000 1
Sn1 0.3333 0.6667 0.2500 1
Br1 0.0000 0.0000 0.2500 1
Br2 0.3333 0.6667 0.1009 1
```



Record 4
Theoretical X-ray diffraction stick pattern of Pu8P5Se3 for Cu Ka, from a cell relaxed with PBE.
Intensities are scaled so that the largest is 100.

Main lines, by angle (10 to 80 degrees two-theta):
| d [Å] | intensity | index |
| --- | --- | --- |
| 3.307 | 80 | 2 0 2 |
| 2.864 | 100 | 0 2 4 |
| 2.027 | 37 | 2 0 8 |
| 2.023 | 38 | 2 2 0 |
| 1.728 | 30 | 2 2 6 |
| 1.725 | 10 | 0 4 2 |
| 1.657 | 6 | 0 0 12 |
| 1.652 | 20 | 4 0 4 |
| 1.432 | 12 | 0 4 8 |
| 1.313 | 8 | 4 2 2 |
| 1.282 | 17 | 2 2 12 |
| 1.280 | 17 | 2 4 4 |

Crystal structure
```
data_Pu8P5Se3
_chemical_formula_sum 'Pu24 P15 Se9'
_cell_length_a 8.0921
_cell_length_b 8.0921
_cell_length_c 19.8864
_cell_angle_alpha 90.00
_cell_angle_beta 90.00
_cell_angle_gamma 120.00
_symmetry_space_group_name_H-M 'R -3 m'
_symmetry_Int_Tables_number 166
_symmetry_space_group_name_Hall '-R 3 2"'
loop_
_atom_site_label
_atom_site_fract_x
_atom_site_fract_y
_atom_site_fract_z
_atom_site_occupancy
Pu1 0.0000 0.0000 0.2454 1
Pu2 0.0063 0.5031 0.7531 1
P1 0.0000 0.0000 0.0000 1
P2 0.0000 0.0000 0.5000 1
P3 0.0000 0.5000 0.5000 1
Se1 0.0000 0.5000 0.0000 1
```



Record 5
Theoretical X-ray diffraction stick pattern of SiO2 for Cu Ka, from a cell relaxed with PBE.
Intensities are scaled so that the largest is 100.

Main lines, by angle (10 to 80 degrees two-theta):
| d [Å] | intensity | index |
| --- | --- | --- |
| 4.132 | 100 | 1 0 1 |
| 3.206 | 8 | 1 1 1 |
| 2.909 | 10 | 1 0 2 |
| 2.541 | 14 | 2 0 0 |
| 2.525 | 6 | 1 1 2 |
| 2.066 | 4 | 2 0 2 |
| 1.975 | 5 | 1 1 3 |
| 1.914 | 6 | 2 1 2 |
| 1.731 | 3 | 2 0 3 |
| 1.648 | 6 | 3 0 1 |
| 1.464 | 4 | 3 1 2 |
| 1.398 | 3 | 2 1 4 |

Crystal structure
```
data_SiO2
_chemical_formula_sum 'Si4 O8'
_cell_length_a 5.082
_cell_length_b 5.082
_cell_length_c 7.095
_cell_angle_alpha 90.00
_cell_angle_beta 90.00
_cell_angle_gamma 90.00
_symmetry_space_group_name_H-M 'P 43 21 2'
_symmetry_Int_Tables_number 96
loop_
_symmetry_equiv_pos_as_xyz
'x,y,z'
'-y+1/2,x+1/2,z+3/4'
'-x,-y,z+1/2'
'y+1/2,-x+1/2,z+1/4'
'x+1/2,-y+1/2,-z+1/4'
'-y,-x,-z+1/2'
'-x+1/2,y+1/2,-z+3/4'
'y,x,-z'
loop_
_atom_site_label
_atom_site_fract_x
_atom_site_fract_y
_atom_site_fract_z
_atom_site_occupancy
Si1 0.206 0.206 0.000 1
O1 0.094 0.759 0.576 1
```



Record 6
Theoretical X-ray diffraction stick pattern of Er6MgTc2 for Cu Ka, from a cell relaxed with PBE.
Intensities are scaled so that the largest is 100.

Main lines, by angle (10 to 80 degrees two-theta):
| d [Å] | intensity | index |
| --- | --- | --- |
| 6.718 | 27 | 1 1 0 |
| 3.501 | 18 | 2 0 2 |
| 2.819 | 100 | 2 2 2 |
| 2.680 | 44 | 2 1 3 |
| 2.600 | 35 | 1 3 2 |
| 2.591 | 16 | 0 0 4 |
| 2.554 | 56 | 2 3 1 |
| 2.375 | 34 | 4 0 0 |
| 2.334 | 14 | 3 0 3 |
| 2.275 | 20 | 0 2 4 |
| 1.629 | 24 | 3 5 0 |
| 1.554 | 21 | 5 3 2 |

Crystal structure
```
data_Er6MgTc2
_chemical_formula_sum 'Er24 Mg4 Tc8'
_cell_length_a 9.496
_cell_length_b 9.506
_cell_length_c 10.363
_cell_angle_alpha 90.00
_cell_angle_beta 90.00
_cell_angle_gamma 90.00
_symmetry_space_group_name_H-M 'I m m m'
_symmetry_Int_Tables_number 71
_symmetry_space_group_name_Hall '-I 2 2'
loop_
_atom_site_label
_atom_site_fract_x
_atom_site_fract_y
_atom_site_fract_z
_atom_site_occupancy
Er1 0.000 0.214 0.236 1
Er2 0.204 0.500 0.185 1
Er3 0.217 0.310 0.500 1
Mg1 0.000 0.000 0.000 1
Mg2 0.000 0.000 0.500 1
Tc1 0.000 0.368 0.000 1
Tc2 0.000 0.500 0.385 1
```



Record 7
Theoretical X-ray diffraction stick pattern of TbPr15In4 for Cu Ka, from a cell relaxed with PBE.
Intensities are scaled so that the largest is 100.

Main lines, by angle (10 to 80 degrees two-theta):
| d [Å] | intensity | index |
| --- | --- | --- |
| 3.109 | 1 | 1 1 4 |
| 2.922 | 100 | 1 1 5 |
| 2.567 | 17 | 0 0 10 |
| 2.514 | 33 | 2 0 0 |
| 1.796 | 23 | 2 0 10 |
| 1.777 | 12 | 2 2 0 |
| 1.629 | 1 | 1 1 14 |
| 1.542 | 13 | 1 1 15 |
| 1.519 | 28 | 3 1 5 |
| 1.461 | 12 | 2 2 10 |
| 1.283 | 2 | 0 0 20 |
| 1.257 | 4 | 4 0 0 |

Crystal structure
```
data_TbPr15In4
_chemical_formula_sum 'Tb1 Pr15 In4'
_cell_length_a 5.027
_cell_length_b 5.027
_cell_length_c 25.665
_cell_angle_alpha 90.00
_cell_angle_beta 90.00
_cell_angle_gamma 90.00
_symmetry_space_group_name_H-M 'P 4/m m m'
_symmetry_Int_Tables_number 123
_symmetry_space_group_name_Hall '-P 4 2'
loop_
_atom_site_label
_atom_site_fract_x
_atom_site_fract_y
_atom_site_fract_z
_atom_site_occupancy
Tb1 0.000 0.000 0.000 1
Pr1 0.000 0.500 0.105 1
Pr2 0.000 0.500 0.303 1
Pr3 0.000 0.500 0.500 1
Pr4 0.500 0.500 0.000 1
Pr5 0.500 0.500 0.204 1
Pr6 0.500 0.500 0.401 1
In1 0.000 0.000 0.205 1
In2 0.000 0.000 0.402 1
```



Record 8
Theoretical X-ray diffraction stick pattern of CsTh2P3O12 for Cu Ka, from a cell relaxed with PBE.
Intensities are scaled so that the largest is 100.

Main lines, by angle (10 to 80 degrees two-theta):
| d [Å] | intensity | index |
| --- | --- | --- |
| 6.531 | 23 | 1 1 0 |
| 4.872 | 42 | 1 1 1 |
| 4.513 | 75 | 3 1 0 |
| 3.566 | 33 | 1 1 -2 |
| 3.386 | 100 | 4 0 -2 |
| 3.307 | 28 | 3 1 -2 |
| 3.120 | 92 | 2 2 -1 |
| 2.943 | 45 | 6 0 0 |
| 2.495 | 23 | 4 2 1 |
| 2.273 | 22 | 7 1 -2 |
| 2.214 | 28 | 1 3 1 |
| 1.905 | 25 | 8 2 -1 |

Crystal structure
```
data_CsTh2P3O12
_chemical_formula_sum 'Cs4 Th8 P12 O48'
_cell_length_a 18.152
_cell_length_b 7.030
_cell_length_c 8.275
_cell_angle_alpha 90.00
_cell_angle_beta 103.37
_cell_angle_gamma 90.00
_symmetry_space_group_name_H-M 'C 1 2/c 1'
_symmetry_Int_Tables_number 15
loop_
_symmetry_equiv_pos_as_xyz
'x,y,z'
'-x,-y,-z'
'-x,y,-z+1/2'
'x,-y,z+1/2'
'x+1/2,y+1/2,z'
'-x+1/2,-y+1/2,-z'
'-x+1/2,y+1/2,-z+1/2'
'x+1/2,-y+1/2,z+1/2'
loop_
_atom_site_label
_atom_site_fract_x
_atom_site_fract_y
_atom_site_fract_z
_atom_site_occupancy
Cs1 0.000 0.089 0.250 1
Th1 0.155 0.405 0.031 1
P1 0.000 0.410 0.750 1
P2 0.194 0.093 0.679 1
O1 0.029 0.292 0.910 1
O2 0.072 0.470 0.241 1
O3 0.148 0.091 0.143 1
O4 0.157 0.259 0.569 1
O5 0.205 0.153 0.867 1
O6 0.222 0.445 0.330 1
```